Zn2W2O5: computed powder diffractogram (Cu Kα (weighted mean of Kα1 and Kα2)), based on a cell relaxed with PBE+U.
Kinematic intensities with the Lorentz-polarization factor, no thermal factor.

Cell and atoms:
Lattice parameters (Å, degrees): 5.098 13.957 3.387 90.00 90.00 90.00
Element x y z (fractional)
Zn  0.178  0.164  0.000
Zn  0.322  0.664  0.000
Zn  0.678  0.336  0.000
Zn  0.822  0.836  0.000
W  0.167  0.424  0.500
W  0.333  0.924  0.500
W  0.667  0.076  0.500
W  0.833  0.576  0.500
O  0.000  0.000  0.500
O  0.141  0.670  0.500
O  0.209  0.856  0.000
O  0.291  0.356  0.000
O  0.359  0.170  0.500
O  0.500  0.500  0.500
O  0.641  0.830  0.500
O  0.709  0.644  0.000
O  0.791  0.144  0.000
O  0.859  0.330  0.500

Most intense lines, 2θ = 10–90°, by angle:
(hkl)	d (Å)	2θ (°)	I (rel.)
0 2 0	6.978	12.69	403
1 2 0	4.116	21.59	334
0 2 1	3.047	29.31	549
1 4 0	2.879	31.06	1000
1 1 1	2.765	32.38	382
1 2 1	2.615	34.29	908
1 4 1	2.194	41.15	282
0 6 1	1.917	47.41	396
2 3 1	1.866	48.82	328
3 1 1	1.510	61.41	310